Record 1
Diffraction record for CdCo7. The XRD peak list is simulated, not measured: it uses a cell relaxed with PBE and copper Kα.
No peak broadening, texture or thermal motion is included.

Top 10 peaks for 2θ = 10–80°, sorted by position:
| h k l | Position (°2θ) | intensity |
| --- | --- | --- |
| 0 0 4 | 10.40 | 34 |
| 0 1 13 | 43.70 | 73 |
| 1 1 0 | 44.20 | 100 |
| 1 1 1 | 44.28 | 39 |
| 0 1 14 | 45.94 | 56 |
| 1 0 13 | 49.70 | 49 |
| 1 0 14 | 51.75 | 31 |
| 0 2 0 | 54.14 | 36 |
| 1 2 13 | 76.53 | 25 |
| 1 2 14 | 78.15 | 17 |

Cell: 2.573 3.390 34.021 Å, 90.00 90.00 90.00°
Space group Pmm2 (No. 25)
Symmetry-distinct sites (fractional):
Cd: 0.000 0.000 0.000 (multiplicity 1)
Cd: 0.500 0.500 0.425 (multiplicity 1)
Co: 0.000 0.000 0.477 (multiplicity 1)
Co: 0.000 0.000 0.548 (multiplicity 1)
Co: 0.000 0.000 0.621 (multiplicity 1)
Co: 0.000 0.000 0.694 (multiplicity 1)
Co: 0.000 0.000 0.768 (multiplicity 1)
Co: 0.000 0.000 0.841 (multiplicity 1)
Co: 0.000 0.000 0.914 (multiplicity 1)
Co: 0.500 0.500 0.511 (multiplicity 1)
Co: 0.500 0.500 0.584 (multiplicity 1)
Co: 0.500 0.500 0.658 (multiplicity 1)
Co: 0.500 0.500 0.731 (multiplicity 1)
Co: 0.500 0.500 0.804 (multiplicity 1)
Co: 0.500 0.500 0.877 (multiplicity 1)
Co: 0.500 0.500 0.949 (multiplicity 1)

***

Record 2
Diffraction record for TbNd2Si4Au4. The XRD peak list is simulated, not measured: it uses a cell relaxed with PBE and copper Kα.
No peak broadening, texture or thermal motion is included.

Top 10 peaks for 2θ = 10–80°, sorted by position:
| h k l | Position (°2θ) | intensity |
| --- | --- | --- |
| 1 0 5 | 27.57 | 14 |
| 1 0 7 | 32.72 | 23 |
| 1 1 4 | 32.99 | 100 |
| 0 2 0 | 42.15 | 20 |
| 2 0 0 | 42.78 | 19 |
| 0 1 11 | 44.95 | 13 |
| 1 2 7 | 54.36 | 11 |
| 2 2 0 | 61.62 | 13 |
| 1 1 16 | 67.22 | 13 |
| 1 3 4 | 71.25 | 11 |

Cell: 4.227 4.287 25.136 Å, 90.00 90.00 90.00°
Space group Immm (No. 71)
Symmetry-distinct sites (fractional):
Tb: 0.000 0.000 0.000 (multiplicity 2)
Nd: 0.000 0.500 0.148 (multiplicity 4)
Si: 0.000 0.000 0.453 (multiplicity 4)
Si: 0.000 0.500 0.309 (multiplicity 4)
Au: 0.000 0.000 0.250 (multiplicity 4)
Au: 0.000 0.500 0.407 (multiplicity 4)

***

Record 3
Diffraction record for Cu2Ag7. The XRD peak list is simulated, not measured: it uses a cell relaxed with PBE and copper Kα.
No peak broadening, texture or thermal motion is included.

Top 10 peaks for 2θ = 10–80°, sorted by position:
| h k l | Position (°2θ) | intensity |
| --- | --- | --- |
| 3 1 0 | 38.32 | 100 |
| 1 1 -3 | 38.50 | 99 |
| 4 0 -3 | 44.35 | 33 |
| 2 0 3 | 44.61 | 31 |
| 0 2 0 | 44.98 | 31 |
| 4 2 -3 | 65.00 | 29 |
| 2 2 3 | 65.21 | 19 |
| 7 1 -3 | 77.50 | 11 |
| 5 1 -6 | 77.85 | 22 |
| 3 3 0 | 78.50 | 11 |

Cell: 9.148 4.031 8.612 Å, 90.00 108.61 90.00°
Space group C2/m (No. 12)
Symmetry-distinct sites (fractional):
Cu: 0.001 0.000 0.340 (multiplicity 4)
Ag: 0.000 0.000 0.000 (multiplicity 2)
Ag: 0.161 0.500 0.882 (multiplicity 4)
Ag: 0.162 0.500 0.553 (multiplicity 4)
Ag: 0.168 0.500 0.228 (multiplicity 4)

***

Record 4
Diffraction record for Pr2GdCu4Ge4. The XRD peak list is simulated, not measured: it uses a cell relaxed with PBE and copper Kα.
No peak broadening, texture or thermal motion is included.

Top 10 peaks for 2θ = 10–80°, sorted by position:
| h k l | Position (°2θ) | intensity |
| --- | --- | --- |
| 0 1 5 | 34.09 | 26 |
| 1 2 1 | 34.42 | 91 |
| 1 1 4 | 35.18 | 100 |
| 0 0 6 | 37.73 | 22 |
| 2 0 0 | 41.62 | 40 |
| 0 3 3 | 44.86 | 29 |
| 1 2 5 | 46.73 | 14 |
| 0 4 0 | 54.86 | 19 |
| 2 3 3 | 62.85 | 20 |
| 1 5 4 | 79.61 | 17 |

Cell: 4.340 6.692 14.302 Å, 90.00 90.00 90.00°
Space group Immm (No. 71)
Symmetry-distinct sites (fractional):
Pr: 0.000 0.000 0.132 (multiplicity 4)
Gd: 0.000 0.500 0.000 (multiplicity 2)
Cu: 0.000 0.186 0.333 (multiplicity 8)
Ge: 0.000 0.307 0.500 (multiplicity 4)
Ge: 0.000 0.500 0.214 (multiplicity 4)

***

Record 5
Diffraction record for Y4Ta2Cd3C3. The XRD peak list is simulated, not measured: it uses a cell relaxed with PBE and copper Kα.
No peak broadening, texture or thermal motion is included.

Top 10 peaks for 2θ = 10–80°, sorted by position:
| h k l | Position (°2θ) | intensity |
| --- | --- | --- |
| 1 1 0 | 17.19 | 23 |
| 0 2 0 | 29.73 | 20 |
| 3 1 -1 | 29.84 | 45 |
| 3 1 -4 | 34.46 | 100 |
| 0 2 3 | 34.68 | 95 |
| 3 1 2 | 35.09 | 83 |
| 0 0 6 | 35.31 | 53 |
| 3 3 -1 | 52.84 | 34 |
| 6 0 -8 | 64.55 | 23 |
| 3 3 -7 | 64.73 | 27 |

Cell: 10.362 6.010 15.719 Å, 90.00 104.01 90.00°
Space group C2/c (No. 15)
Symmetry-distinct sites (fractional):
Y: 0.118 0.067 0.094 (multiplicity 8)
Y: 0.208 0.092 0.406 (multiplicity 8)
Ta: 0.067 0.409 0.934 (multiplicity 8)
Cd: 0.000 0.141 0.750 (multiplicity 4)
Cd: 0.137 0.443 0.245 (multiplicity 8)
C: 0.072 0.282 0.500 (multiplicity 8)
C: 0.250 0.250 0.000 (multiplicity 4)

***

Record 6
Diffraction record for Nb2Hg3SO4F10. The XRD peak list is simulated, not measured: it uses a cell relaxed with PBE and copper Kα.
No peak broadening, texture or thermal motion is included.

Top 10 peaks for 2θ = 10–80°, sorted by position:
| h k l | Position (°2θ) | intensity |
| --- | --- | --- |
| 1 1 1 | 12.70 | 100 |
| 3 1 1 | 20.63 | 34 |
| 0 2 2 | 22.79 | 71 |
| 2 4 0 | 23.06 | 40 |
| 3 3 1 | 25.07 | 58 |
| 2 2 2 | 25.56 | 96 |
| 4 4 0 | 30.62 | 51 |
| 2 6 0 | 32.28 | 33 |
| 0 0 4 | 41.59 | 27 |
| 4 6 2 | 43.74 | 28 |

Cell: 15.481 17.793 8.685 Å, 90.00 90.00 90.00°
Space group Fdd2 (No. 43)
Symmetry-distinct sites (fractional):
Nb: 0.056 0.307 0.000 (multiplicity 16)
Hg: 0.000 0.000 0.281 (multiplicity 8)
Hg: 0.116 0.099 0.232 (multiplicity 16)
S: 0.000 0.000 0.860 (multiplicity 8)
O: 0.044 0.446 0.460 (multiplicity 16)
O: 0.062 0.040 0.755 (multiplicity 16)
F: 0.044 0.199 0.008 (multiplicity 16)
F: 0.058 0.309 0.222 (multiplicity 16)
F: 0.066 0.308 0.781 (multiplicity 16)
F: 0.067 0.182 0.495 (multiplicity 16)
F: 0.075 0.414 0.005 (multiplicity 16)

***

Record 7
Diffraction record for LiLaInAg. The XRD peak list is simulated, not measured: it uses a cell relaxed with PBE and copper Kα.
No peak broadening, texture or thermal motion is included.

Top 10 peaks for 2θ = 10–80°, sorted by position:
| h k l | Position (°2θ) | intensity |
| --- | --- | --- |
| 1 0 1 | 21.57 | 21 |
| 1 1 0 | 24.96 | 17 |
| 2 0 0 | 35.59 | 100 |
| 2 1 1 | 42.00 | 11 |
| 2 0 2 | 43.96 | 5 |
| 2 2 0 | 51.22 | 17 |
| 3 0 1 | 56.20 | 4 |
| 3 1 0 | 57.79 | 7 |
| 3 1 2 | 63.92 | 35 |
| 4 0 0 | 75.36 | 11 |

Cell: 5.042 5.042 7.142 Å, 90.00 90.00 90.00°
Space group P-4m2 (No. 115)
Symmetry-distinct sites (fractional):
Li: 0.000 0.000 0.000 (multiplicity 1)
Li: 0.500 0.500 0.500 (multiplicity 1)
La: 0.000 0.500 0.750 (multiplicity 2)
In: 0.000 0.500 0.249 (multiplicity 2)
Ag: 0.000 0.000 0.500 (multiplicity 1)
Ag: 0.500 0.500 0.000 (multiplicity 1)

***

Record 8
Diffraction record for YFeCoGe. The XRD peak list is simulated, not measured: it uses a cell relaxed with PBE and copper Kα.
No peak broadening, texture or thermal motion is included.

Top 7 peaks for 2θ = 10–80°, sorted by position:
| h k l | Position (°2θ) | intensity |
| --- | --- | --- |
| 1 1 1 | 23.99 | 4 |
| 2 2 0 | 39.68 | 100 |
| 3 1 1 | 46.91 | 2 |
| 4 0 0 | 57.37 | 16 |
| 3 3 1 | 63.08 | 1 |
| 4 2 2 | 72.01 | 32 |
| 5 1 1 | 77.15 | 1 |

Cell: 6.424 6.424 6.424 Å, 90.00 90.00 90.00°
Space group F-43m (No. 216)
Symmetry-distinct sites (fractional):
Y: 0.000 0.000 0.000 (multiplicity 4)
Fe: 0.000 0.000 0.500 (multiplicity 4)
Co: 0.250 0.250 0.750 (multiplicity 4)
Ge: 0.250 0.250 0.250 (multiplicity 4)

***

Record 9
Diffraction record for Ba2LiIrSe6. The XRD peak list is simulated, not measured: it uses a cell relaxed with PBE and copper Kα.
No peak broadening, texture or thermal motion is included.

Top 10 peaks for 2θ = 10–80°, sorted by position:
| h k l | Position (°2θ) | intensity |
| --- | --- | --- |
| 1 0 1 | 15.21 | 44 |
| 2 0 0 | 24.96 | 50 |
| 2 1 1 | 29.35 | 25 |
| 2 0 2 | 30.69 | 69 |
| 0 0 4 | 35.58 | 100 |
| 3 1 2 | 43.95 | 23 |
| 2 2 4 | 51.20 | 70 |
| 2 0 6 | 60.89 | 27 |
| 4 0 4 | 63.91 | 24 |
| 4 2 4 | 69.73 | 12 |

Cell: 7.133 7.133 10.101 Å, 90.00 90.00 90.00°
Space group I4/m (No. 87)
Symmetry-distinct sites (fractional):
Ba: 0.000 0.500 0.250 (multiplicity 4)
Li: 0.000 0.000 0.000 (multiplicity 2)
Ir: 0.000 0.000 0.500 (multiplicity 2)
Se: 0.000 0.000 0.253 (multiplicity 4)
Se: 0.242 0.748 0.500 (multiplicity 8)

***

Record 10
Diffraction record for Sr5Pr2Pb3N2. The XRD peak list is simulated, not measured: it uses a cell relaxed with PBE and copper Kα.
No peak broadening, texture or thermal motion is included.

Top 10 peaks for 2θ = 10–80°, sorted by position:
| h k l | Position (°2θ) | intensity |
| --- | --- | --- |
| 1 1 0 | 17.42 | 7 |
| 0 6 1 | 26.89 | 6 |
| 1 5 1 | 29.86 | 100 |
| 2 0 0 | 34.56 | 36 |
| 0 0 2 | 34.74 | 19 |
| 2 10 0 | 49.67 | 12 |
| 2 0 2 | 49.81 | 26 |
| 3 5 1 | 59.05 | 27 |
| 1 5 3 | 59.29 | 15 |
| 2 10 2 | 62.04 | 13 |

Cell: 5.191 25.956 5.164 Å, 90.00 90.00 90.00°
Space group Cmmm (No. 65)
Symmetry-distinct sites (fractional):
Sr: 0.000 0.000 0.000 (multiplicity 2)
Sr: 0.000 0.098 0.500 (multiplicity 4)
Sr: 0.000 0.200 0.000 (multiplicity 4)
Pr: 0.000 0.398 0.000 (multiplicity 4)
Pb: 0.000 0.308 0.500 (multiplicity 4)
Pb: 0.000 0.500 0.500 (multiplicity 2)
N: 0.000 0.102 0.000 (multiplicity 4)

***

Record 11
Diffraction record for Tb2DySi5. The XRD peak list is simulated, not measured: it uses a cell relaxed with PBE and copper Kα.
No peak broadening, texture or thermal motion is included.

Top 10 peaks for 2θ = 10–80°, sorted by position:
| h k l | Position (°2θ) | intensity |
| --- | --- | --- |
| 1 0 0 | 21.13 | 21 |
| 0 3 1 | 27.08 | 53 |
| 1 3 1 | 34.60 | 100 |
| 2 0 0 | 43.03 | 12 |
| 0 3 3 | 47.81 | 15 |
| 2 3 1 | 51.58 | 18 |
| 1 3 3 | 52.81 | 9 |
| 1 6 2 | 60.44 | 11 |
| 2 3 3 | 66.26 | 11 |
| 3 3 1 | 73.43 | 11 |

Cell: 4.204 11.383 6.597 Å, 90.00 90.00 90.00°
Space group Amm2 (No. 38)
Symmetry-distinct sites (fractional):
Tb: 0.000 0.177 0.000 (multiplicity 4)
Dy: 0.000 0.000 0.530 (multiplicity 2)
Si: 0.500 0.000 0.907 (multiplicity 2)
Si: 0.500 0.133 0.311 (multiplicity 4)
Si: 0.500 0.166 0.676 (multiplicity 4)

***

Record 12
Diffraction record for YTm2Al7Ag2. The XRD peak list is simulated, not measured: it uses a cell relaxed with PBE and copper Kα.
No peak broadening, texture or thermal motion is included.

Top 10 peaks for 2θ = 10–80°, sorted by position:
| h k l | Position (°2θ) | intensity |
| --- | --- | --- |
| 0 0 6 | 20.32 | 35 |
| 1 0 4 | 23.03 | 39 |
| 1 0 7 | 30.31 | 25 |
| 1 1 0 | 32.45 | 86 |
| 1 1 6 | 38.59 | 100 |
| 1 0 10 | 39.18 | 17 |
| 0 2 4 | 40.17 | 19 |
| 0 1 14 | 52.51 | 17 |
| 0 3 6 | 62.01 | 24 |
| 2 2 0 | 67.95 | 18 |

Cell: 5.5181 5.5181 26.2284 Å, 90.00 90.00 120.00°
Space group R-3m (No. 166, hexagonal axes)
Symmetry-distinct sites (fractional):
Y: 0.0000 0.0000 0.0000 (multiplicity 3)
Tm: 0.0000 0.0000 0.1427 (multiplicity 6)
Al: 0.0000 0.0000 0.5000 (multiplicity 3)
Al: 0.0081 0.5040 0.9156 (multiplicity 18)
Ag: 0.0000 0.0000 0.3357 (multiplicity 6)

***

Q: Which formula does entry 6 have?
A: Nb2Hg3SO4F10